Record 1
# CuSi4P3
Computed powder X-ray diffraction pattern, CuKα. Input: a structure optimized by DFT (GGA-PBE).

```
CuSi4P3
1.0
1.9116 1.1036 11.9526
-1.9116 1.1036 11.9526
0.0000 -2.2073 11.9526
Cu Si P
1 4 3
Cartesian
0.0000 0.0000 0.0000
0.0000 0.0000 2.3750
0.0000 0.0000 9.2808
0.0000 0.0000 18.1189
0.0000 0.0000 27.0439
0.0000 0.0000 11.4762
0.0000 0.0000 20.3897
0.0000 0.0000 29.3806
```

Top 12 peaks for 10° ≤ 2θ ≤ 90°, most intense first:
2theta  d/Å  I_rel
28.74  3.106  100.0
47.57  1.912  47.7
49.09  1.856  39.4
29.90  2.988  36.8
57.21  1.610  31.3
89.75  1.093  14.9
56.53  1.628  13.2
70.75  1.332  12.9
76.93  1.239  10.6
14.82  5.976  8.7
58.55  1.576  8.2
88.62  1.104  8.1

Record 2
# Li2Zr2Rh3
Computed powder X-ray diffraction pattern, CuKα. Input: a structure optimized by DFT (GGA-PBE).

```
Li2Zr2Rh3
1.0
1.6648 -11.5616 0.0000
1.6648 11.5616 0.0000
0.0000 0.0000 3.1728
Li Zr Rh
2 2 3
Cartesian
1.6648 6.8373 0.0000
1.6648 -6.8373 0.0000
1.6648 9.8290 0.0000
1.6648 -9.8290 0.0000
1.6648 3.1893 1.5864
1.6648 0.0000 1.5864
1.6648 -3.1893 1.5864
```

Top 12 peaks for 10° ≤ 2θ ≤ 90°, most intense first:
2theta  d/Å  I_rel
39.42  2.286  100.0
38.39  2.345  81.4
36.69  2.449  52.3
42.30  2.137  45.0
15.33  5.781  35.1
71.85  1.314  25.1
71.89  1.313  17.9
74.07  1.280  17.0
68.10  1.377  16.3
66.48  1.406  15.2
55.17  1.665  14.3
55.65  1.652  12.3

Record 3
# CaAc4S7
Computed powder X-ray diffraction pattern, CuKα. Input: a structure optimized by DFT (GGA-PBE).

```
CaAc4S7
1.0
6.9867 -2.0991 0.0000
6.9867 2.0991 0.0000
-3.3476 0.0000 11.8076
Ca Ac S
1 4 7
Cartesian
0.0000 0.0000 0.0000
0.1876 0.0000 4.9100
0.3178 0.0000 10.0791
3.8042 0.0000 7.3381
10.5432 0.0000 2.5804
-1.1393 0.0000 7.5183
1.5158 0.0000 2.3423
5.1108 0.0000 0.8456
5.0860 0.0000 4.4191
5.4220 0.0000 10.9031
9.2220 0.0000 5.5642
9.3237 0.0000 9.2013
```

Top 12 peaks for 10° ≤ 2θ ≤ 90°, most intense first:
2theta  d/Å  I_rel
22.85  3.891  100.0
22.59  3.935  76.5
30.26  2.953  43.1
31.51  2.840  42.0
43.10  2.099  41.6
25.84  3.448  38.3
25.50  3.493  37.2
29.15  3.064  36.6
39.36  2.289  29.8
38.13  2.360  28.2
28.71  3.110  24.3
24.02  3.704  23.4

Record 4
# Na4SnGe2S6
Computed powder X-ray diffraction pattern, CuKα. Input: a structure optimized by DFT (GGA-PBE).

```
Na4SnGe2S6
1.0
3.4767 -5.9943 0.0000
3.4767 5.9943 0.0000
-2.1620 0.0000 7.4305
Na Sn Ge S
4 1 2 6
Cartesian
0.0000 0.0000 0.0000
2.3957 -0.0336 3.7152
3.4767 -2.0112 0.0000
2.3957 -4.1593 3.7152
3.4767 1.8402 0.0000
2.3158 3.8849 2.5023
2.4756 3.8849 4.9282
1.2150 2.0475 1.8188
0.0464 -0.2412 5.5493
0.9613 -2.2132 1.7169
3.5764 2.0475 5.6117
4.7450 -0.2412 1.8811
3.8301 -2.2132 5.7135
```

Top 12 peaks for 10° ≤ 2θ ≤ 90°, most intense first:
2theta  d/Å  I_rel
15.19  5.833  100.0
30.23  2.956  91.8
30.60  2.922  53.1
45.23  2.005  45.9
19.02  4.665  24.6
16.88  5.253  24.1
45.39  1.998  22.7
14.78  5.994  20.8
28.26  3.158  19.5
38.19  2.357  17.9
35.76  2.511  17.6
55.73  1.649  15.2

Record 5
# Mg3RhPb
Computed powder X-ray diffraction pattern, CuKα. Input: a structure optimized by DFT (GGA-PBE).

```
Mg3RhPb
1.0
8.7980 0.0000 0.0000
0.0000 7.7175 0.0000
0.0000 0.0000 3.1526
Mg Rh Pb
6 2 2
Cartesian
0.4030 1.7353 0.0000
2.1995 4.2232 3.1509
3.9960 1.7353 0.0000
4.8020 5.9822 0.0000
6.5985 3.4944 3.1509
8.3950 5.9822 0.0000
0.0000 3.8588 1.5763
4.3990 3.8588 1.5763
2.1995 7.2395 1.5829
6.5985 0.4780 1.5829
```

Top 12 peaks for 10° ≤ 2θ ≤ 90°, most intense first:
2theta  d/Å  I_rel
23.27  3.822  100.0
36.96  2.432  94.7
23.05  3.859  37.0
36.81  2.441  35.0
28.31  3.153  24.0
36.39  2.469  22.8
38.26  2.353  21.5
41.04  2.200  21.2
15.27  5.802  18.2
25.20  3.534  18.1
63.85  1.458  17.4
56.30  1.634  16.5

Record 6
# LiPm4Al3
Computed powder X-ray diffraction pattern, CuKα. Input: a structure optimized by DFT (GGA-PBE).

```
LiPm4Al3
1.0
2.6251 1.5156 8.5990
-2.6251 1.5156 8.5990
0.0000 -3.0312 8.5990
Li Pm Al
1 4 3
Cartesian
0.0000 0.0000 0.0000
0.0000 0.0000 3.2519
0.0000 0.0000 9.7186
0.0000 0.0000 16.0783
0.0000 0.0000 22.5450
0.0000 0.0000 6.5306
0.0000 0.0000 12.8984
0.0000 0.0000 19.2663
```

Top 12 peaks for 10° ≤ 2θ ≤ 90°, most intense first:
2theta  d/Å  I_rel
34.12  2.628  100.0
23.95  3.716  68.0
55.28  1.662  28.1
61.12  1.516  27.7
49.03  1.858  17.9
42.15  2.144  15.5
77.02  1.238  10.6
60.97  1.520  9.1
82.05  1.174  8.0
81.94  1.176  7.9
87.00  1.120  6.0
71.94  1.313  5.7